Structure and theoretical powder X-ray diffraction pattern of Rb3FeF3 (DFT lattice parameters and positions (PBE+U); Cu Ka).
Kinematic intensities with the Lorentz-polarization factor, no thermal factor.

Peak list (10 most intense, 10° ≤ 2θ ≤ 80°, low angle first)
h k l  two_theta  I (rel.)
1 -1 0  26.53  44.4
1 1 -2  26.69  44.6
1 2 1  28.32  100.0
2 1 1  28.87  61.6
0 1 3  29.26  58.4
0 2 -2  36.81  35.1
2 0 -2  39.14  30.5
2 2 4  43.89  21.2
2 -1 3  47.30  14.3
1 3 4  52.31  14.6

```
data_Rb3FeF3
_chemical_formula_sum 'Rb6 Fe2 F6'
_cell_length_a 6.2226
_cell_length_b 6.3855
_cell_length_c 10.5869
_cell_angle_alpha 81.47
_cell_angle_beta 78.36
_cell_angle_gamma 64.52
_symmetry_space_group_name_H-M 'P 1'
_symmetry_Int_Tables_number 1
loop_
_symmetry_equiv_pos_as_xyz
'x,y,z'
loop_
_atom_site_label
_atom_site_type_symbol
_atom_site_fract_x
_atom_site_fract_y
_atom_site_fract_z
Rb1 Rb 0.0000 0.0000 0.0000
Rb2 Rb 0.1055 0.1525 0.6274
Rb3 Rb 0.2446 0.2701 0.2505
Rb4 Rb 0.4754 0.5397 0.4985
Rb5 Rb 0.6188 0.6378 0.1169
Rb6 Rb 0.7329 0.7832 0.7362
Fe1 Fe 0.3849 0.3863 0.8670
Fe2 Fe 0.8798 0.8955 0.3685
F1 F 0.0753 0.5024 0.0111
F2 F 0.2191 0.7181 0.7655
F3 F 0.4664 0.0517 0.9664
F4 F 0.5310 0.9749 0.4805
F5 F 0.7231 0.2179 0.2589
F6 F 0.9832 0.5736 0.4882
```



Structure and theoretical powder X-ray diffraction pattern of Li5Fe8B8O24 (DFT lattice parameters and positions (PBE+U); Cu Ka).
Kinematic intensities with the Lorentz-polarization factor, no thermal factor.

Peak list (10 most intense, 10° ≤ 2θ ≤ 80°, low angle first)
h k l  two_theta  I (rel.)
0 2 0  19.50  97.0
0 2 1  21.31  27.9
1 1 -1  21.50  100.0
1 1 2  25.90  28.0
1 -1 2  26.10  32.0
1 3 0  34.06  60.3
1 -3 0  34.19  30.0
0 0 4  35.24  92.0
2 -2 1  40.54  33.7
-1 1 5  49.27  24.2

```
data_Li5Fe8B8O24
_chemical_formula_sum 'Li5 Fe8 B8 O24'
_cell_length_a 5.2651
_cell_length_b 9.0979
_cell_length_c 10.1891
_cell_angle_alpha 89.42
_cell_angle_beta 88.79
_cell_angle_gamma 89.73
_symmetry_space_group_name_H-M 'P 1'
_symmetry_Int_Tables_number 1
loop_
_symmetry_equiv_pos_as_xyz
'x,y,z'
loop_
_atom_site_label
_atom_site_type_symbol
_atom_site_fract_x
_atom_site_fract_y
_atom_site_fract_z
Li1 Li 0.0000 0.0000 0.0000
Li2 Li 0.0095 0.0086 0.4887
Li3 Li 0.3205 0.9912 0.7527
Li4 Li 0.8018 0.5188 0.2407
Li5 Li 0.8134 0.4955 0.7415
Fe1 Fe 0.3132 0.3298 0.2710
Fe2 Fe 0.3237 0.6605 0.7727
Fe3 Fe 0.4912 0.8303 0.0307
Fe4 Fe 0.4984 0.1782 0.5292
Fe5 Fe 0.8094 0.8504 0.2780
Fe6 Fe 0.8126 0.1622 0.7810
Fe7 Fe 0.9951 0.3473 0.0230
Fe8 Fe 0.9990 0.6648 0.5237
B1 B 0.3081 0.6596 0.2709
B2 B 0.3168 0.3360 0.7746
B3 B 0.4963 0.1587 0.0329
B4 B 0.4990 0.8464 0.5313
B5 B 0.8243 0.8323 0.7831
B6 B 0.8288 0.1813 0.2850
B7 B 0.9891 0.3275 0.5299
B8 B 0.9896 0.6816 0.0307
O1 O 0.0537 0.6700 0.3089
O2 O 0.0603 0.3352 0.8128
O3 O 0.2319 0.3105 0.4735
O4 O 0.2362 0.6942 0.9814
O5 O 0.3630 0.0283 0.0203
O6 O 0.3646 0.2805 0.0807
O7 O 0.3658 0.7223 0.5629
O8 O 0.3698 0.9822 0.5461
O9 O 0.4293 0.2022 0.7294
O10 O 0.4339 0.5256 0.2733
O11 O 0.4458 0.7828 0.2264
O12 O 0.4622 0.4582 0.7785
O13 O 0.5658 0.8375 0.8214
O14 O 0.5751 0.1909 0.3299
O15 O 0.7516 0.1663 0.9954
O16 O 0.7528 0.8469 0.4908
O17 O 0.8587 0.8145 0.0598
O18 O 0.8619 0.1947 0.5640
O19 O 0.8756 0.5505 0.0511
O20 O 0.8812 0.4591 0.5514
O21 O 0.9331 0.7015 0.7425
O22 O 0.9441 0.3133 0.2444
O23 O 0.9552 0.0516 0.2900
O24 O 0.9655 0.9609 0.7914
```



Structure and theoretical powder X-ray diffraction pattern of KInMo2O8 (DFT lattice parameters and positions (PBE+U); Cu Ka).
Kinematic intensities with the Lorentz-polarization factor, no thermal factor.

Peak list (10 most intense, 10° ≤ 2θ ≤ 80°, low angle first)
h k l  two_theta  I (rel.)
1 0 1  11.56  25.1
1 1 1  18.82  18.8
2 1 0  18.93  24.8
2 0 2  23.24  70.0
3 1 1  25.22  69.5
2 1 2  27.66  83.0
4 1 0  27.99  39.9
0 2 0  29.81  100.0
1 1 3  34.29  18.9
3 1 5  57.08  21.2

```
data_KInMo2O8
_chemical_formula_sum 'K4 In4 Mo8 O32'
_cell_length_a 15.0665
_cell_length_b 5.9868
_cell_length_c 8.8877
_cell_angle_alpha 90.00
_cell_angle_beta 90.00
_cell_angle_gamma 90.00
_symmetry_space_group_name_H-M 'P n m a'
_symmetry_Int_Tables_number 62
loop_
_symmetry_equiv_pos_as_xyz
'x,y,z'
'-x,-y,-z'
'-x+1/2,-y,z+1/2'
'x+1/2,y,-z+1/2'
'x+1/2,-y+1/2,-z+1/2'
'-x+1/2,y+1/2,z+1/2'
'-x,y+1/2,-z'
'x,-y+1/2,z'
loop_
_atom_site_label
_atom_site_type_symbol
_atom_site_fract_x
_atom_site_fract_y
_atom_site_fract_z
K1 K 0.1238 0.2500 0.0469
In1 In 0.1056 0.7500 0.6955
Mo1 Mo 0.0384 0.7500 0.2825
Mo2 Mo 0.2164 0.2500 0.4969
O1 O 0.0188 0.0060 0.7947
O2 O 0.0335 0.7500 0.4841
O3 O 0.1404 0.2500 0.3497
O4 O 0.1478 0.7500 0.2183
O5 O 0.1741 0.7500 0.9088
O6 O 0.1960 0.5019 0.6053
```